Record 1
# TbGa2Ni3
Computed PXRD pattern, Cu Kα X-rays. Input: a cell relaxed with PBE.

Crystal structure
Cell: 8.7925 8.7925 4.0951 Å, 90.00 90.00 120.00°
Atoms (fractional coordinates):
1 Tb 0.0000 0.0000 0.0000
2 Tb 0.3333 0.6667 0.5000
3 Tb 0.6667 0.3333 0.5000
4 Ga 0.0000 0.4780 0.0000
5 Ga 0.0000 0.7283 0.5000
6 Ga 0.2717 0.2717 0.5000
7 Ga 0.4780 0.0000 0.0000
8 Ga 0.5220 0.5220 0.0000
9 Ga 0.7283 0.0000 0.5000
10 Ni 0.0000 0.2908 0.5000
11 Ni 0.1724 0.7980 0.0000
12 Ni 0.2020 0.3744 0.0000
13 Ni 0.2908 0.0000 0.5000
14 Ni 0.3744 0.2020 0.0000
15 Ni 0.6256 0.8276 0.0000
16 Ni 0.7092 0.7092 0.5000
17 Ni 0.7980 0.1724 0.0000
18 Ni 0.8276 0.6256 0.0000

Principal peaks in the range 10 to 80 degrees two-theta, by intensity:
Position (°2θ)  intensity
38.2  100
32.1  71
41.9  66
41.1  57
44.2  51
35.4  40
61.9  33
46.9  29
57.9  19
65.4  18
24.7  17
72.9  16



Record 2
# NpHS3
Computed PXRD pattern, Cu Kα X-rays. Input: a cell relaxed with PBE.

Crystal structure
Cell: 6.8713 6.9147 7.6347 Å, 64.77 63.55 60.44°
Atoms (fractional coordinates):
1 Np 0.1743 0.1522 0.0002
2 Np 0.8257 0.8478 0.9998
3 H 0.3811 0.5603 0.8095
4 H 0.6189 0.4397 0.1905
5 S 0.0575 0.7986 0.2062
6 S 0.2099 0.5741 0.7564
7 S 0.4198 0.0781 0.2055
8 S 0.5802 0.9219 0.7945
9 S 0.7901 0.4259 0.2436
10 S 0.9425 0.2014 0.7938

Principal peaks in the range 10 to 80 degrees two-theta, by intensity:
Position (°2θ)  intensity
13.4  100
29.4  46
15.6  31
28.8  29
15.3  24
25.7  23
17.2  22
37.2  20
17.5  18
38.1  15
37.9  14
25.9  11



Record 3
# KVP2Se8
Computed PXRD pattern, Cu Kα X-rays. Input: a cell relaxed with PBE.

Crystal structure
Cell: 10.6179 10.6179 10.6179 Å, 34.20 34.20 34.20°
Atoms (fractional coordinates):
1 K 0.0000 0.0000 0.0000
2 V 0.5000 0.5000 0.5000
3 P 0.2355 0.2355 0.2355
4 P 0.7645 0.7645 0.7645
5 Se 0.1368 0.7896 0.4342
6 Se 0.2104 0.5658 0.8632
7 Se 0.3074 0.3074 0.3074
8 Se 0.4342 0.1368 0.7896
9 Se 0.5658 0.8632 0.2104
10 Se 0.6926 0.6926 0.6926
11 Se 0.7896 0.4342 0.1368
12 Se 0.8632 0.2104 0.5658

Principal peaks in the range 10 to 80 degrees two-theta, by intensity:
Position (°2θ)  intensity
30.0  100
33.9  81
50.6  39
26.8  29
54.5  23
20.3  19
39.6  18
58.2  18
22.1  18
46.6  17
60.0  13
62.3  12